Entry 1:
For Li4Sb2H6O3F10, a PBE-relaxed structure gives the theoretical powder diffractogram in this record (copper Kα).
No peak broadening, texture or thermal motion is included.

Main lines, in order of rising 2θ (15 to 90 degrees two-theta):
d [Å]	2θ/deg	I (rel.)	hkl
5.331	16.6	58.7	0 1 1
5.281	16.8	63.8	1 1 0
4.259	20.9	57.0	0 4 0
3.992	22.3	54.8	0 3 1
3.969	22.4	100.0	1 0 -1
2.286	39.4	46.0	2 3 -1

Structure:
```
Li4Sb2H6O3F10
1.0
5.555 0.000 0.000
0.000 17.036 0.000
-0.048 0.000 5.613
Li Sb H O F
8 4 12 6 20
Direct
0.205 0.013 0.231
0.205 0.487 0.231
0.249 0.607 0.712
0.249 0.893 0.712
0.751 0.107 0.288
0.751 0.393 0.288
0.795 0.513 0.769
0.795 0.987 0.769
0.281 0.123 0.774
0.281 0.377 0.774
0.719 0.623 0.226
0.719 0.877 0.226
0.127 0.204 0.255
0.127 0.296 0.255
0.214 0.704 0.117
0.214 0.796 0.117
0.283 0.750 0.484
0.463 0.750 0.702
0.537 0.250 0.298
0.717 0.250 0.516
0.786 0.204 0.883
0.786 0.296 0.883
0.873 0.704 0.745
0.873 0.796 0.745
0.230 0.250 0.287
0.288 0.750 0.662
0.296 0.750 0.192
0.704 0.250 0.808
0.712 0.250 0.338
0.770 0.750 0.713
0.040 0.634 0.007
0.040 0.866 0.007
0.075 0.091 0.461
0.075 0.409 0.461
0.178 0.011 0.834
0.178 0.489 0.834
0.412 0.570 0.377
0.412 0.930 0.377
0.441 0.095 0.106
0.441 0.405 0.106
0.559 0.595 0.894
0.559 0.905 0.894
0.588 0.070 0.623
0.588 0.430 0.623
0.822 0.511 0.166
0.822 0.989 0.166
0.925 0.591 0.539
0.925 0.909 0.539
0.960 0.134 0.993
0.960 0.366 0.993
```

***

Entry 2:
For BaAc2UO6, a PBE-relaxed structure gives the theoretical powder diffractogram in this record (copper Kα).
No peak broadening, texture or thermal motion is included.

Main lines, in order of rising 2θ (15 to 90 degrees two-theta):
d [Å]	2θ/deg	I (rel.)	hkl
3.380	26.4	100.0	1 1 1
3.044	29.3	13.0	0 0 2
2.873	31.1	34.2	2 0 0
2.089	43.3	26.5	2 0 2
2.031	44.6	19.5	2 2 0
1.741	52.6	31.4	3 1 1

Structure:
```
BaAc2UO6
1.0
5.746 0.000 0.000
0.000 5.746 0.000
0.000 0.000 6.089
Ba Ac U O
1 2 1 6
Direct
0.000 0.000 0.000
0.000 0.500 0.469
0.500 0.000 0.469
0.500 0.500 0.066
0.000 0.000 0.587
0.268 0.268 0.229
0.268 0.732 0.229
0.500 0.500 0.707
0.732 0.268 0.229
0.732 0.732 0.229
```